Theoretical X-ray diffraction stick pattern
Compound: HoTm2LuIn2
Radiation: CuKα
Structure: DFT lattice parameters and positions (GGA-PBE)
Peak positions follow from Bragg's law for the DFT cell and can differ from measured ones.

Structure:
abc: 5.3164 5.3164 6.6479
angles: 90.00 90.00 120.00
Space group P-3m1 (No. 164)
One atom of each set of equivalent atoms:
1 Ho 0.0000 0.0000 0.0000 x1
2 Tm 0.3333 0.6667 0.7496 x2
3 Lu 0.0000 0.0000 0.5000 x1
4 In 0.3333 0.6667 0.2501 x2

Largest 6 diffraction maxima, most intense first, 10° ≤ 2θ ≤ 90°:
2θ (°)  d/Å  I_rel
33.72  2.658  100
33.24  2.695  98
60.01  1.542  36
48.08  1.893  35
66.33  1.409  28
60.31  1.535  19

Theoretical X-ray diffraction stick pattern
Compound: HoTmLu2In2
Radiation: CuKα
Structure: DFT lattice parameters and positions (GGA-PBE)
Peak positions follow from Bragg's law for the DFT cell and can differ from measured ones.

Structure:
abc: 5.2847 5.2847 6.6256
angles: 90.00 90.00 120.00
Space group P-6m2 (No. 187)
One atom of each set of equivalent atoms:
1 Ho 0.0000 0.0000 0.0000 x1
2 Tm 0.6667 0.3333 0.5000 x1
3 Lu 0.3333 0.6667 0.2512 x2
4 In 0.0000 0.0000 0.5000 x1
5 In 0.6667 0.3333 0.0000 x1

Largest 6 diffraction maxima, most intense first, 10° ≤ 2θ ≤ 90°:
2θ (°)  d/Å  I_rel
33.93  2.642  100
33.39  2.684  99
60.37  1.533  36
48.34  1.883  35
66.64  1.403  28
60.71  1.526  19

Theoretical X-ray diffraction stick pattern
Compound: NdHo2Mg3ZnIn2
Radiation: CuKα
Structure: DFT lattice parameters and positions (GGA-PBE)
Peak positions follow from Bragg's law for the DFT cell and can differ from measured ones.

Structure:
abc: 4.6121 13.1386 7.4194
angles: 90.00 90.00 90.00
Space group Amm2 (No. 38)
One atom of each set of equivalent atoms:
1 Nd 0.0000 0.0000 0.0000 x2
2 Ho 0.0000 0.2067 0.6188 x4
3 Mg 0.5000 0.0000 0.6518 x2
4 Mg 0.5000 0.1176 0.2977 x4
5 Zn 0.0000 0.0000 0.4238 x2
6 In 0.5000 0.1699 0.9120 x4

Largest 6 diffraction maxima, most intense first, 10° ≤ 2θ ≤ 90°:
2θ (°)  d/Å  I_rel
30.62  2.920  100
33.88  2.646  93
30.94  2.891  55
33.49  2.675  42
39.06  2.306  42
23.59  3.772  31

Theoretical X-ray diffraction stick pattern
Compound: Pr2HoMg3ZnIn2
Radiation: CuKα
Structure: DFT lattice parameters and positions (GGA-PBE)
Peak positions follow from Bragg's law for the DFT cell and can differ from measured ones.

Structure:
abc: 4.6885 13.0117 7.6645
angles: 90.00 90.00 90.00
Space group Amm2 (No. 38)
One atom of each set of equivalent atoms:
1 Pr 0.0000 0.2051 0.0000 x4
2 Ho 0.0000 0.0000 0.3846 x2
3 Mg 0.5000 0.0000 0.0258 x2
4 Mg 0.5000 0.1178 0.6739 x4
5 Zn 0.0000 0.0000 0.7822 x2
6 In 0.5000 0.1623 0.2953 x4

Largest 6 diffraction maxima, most intense first, 10° ≤ 2θ ≤ 90°:
2θ (°)  d/Å  I_rel
30.40  2.940  100
33.18  2.700  76
30.12  2.967  45
33.53  2.673  45
38.40  2.344  39
23.57  3.775  28

Theoretical X-ray diffraction stick pattern
Compound: Ho3Mg3In2Pt
Radiation: CuKα
Structure: DFT lattice parameters and positions (GGA-PBE)
Peak positions follow from Bragg's law for the DFT cell and can differ from measured ones.

Structure:
abc: 7.4628 7.4628 4.4695
angles: 90.00 90.00 120.00
Space group P-62m (No. 189)
One atom of each set of equivalent atoms:
1 Ho 0.0000 0.6011 0.0000 x3
2 Mg 0.0000 0.2319 0.5000 x3
3 In 0.3333 0.6667 0.5000 x2
4 Pt 0.0000 0.0000 0.0000 x1

Largest 6 diffraction maxima, most intense first, 10° ≤ 2θ ≤ 90°:
2θ (°)  d/Å  I_rel
34.24  2.619  100
31.23  2.864  77
23.85  3.731  46
41.94  2.154  40
42.16  2.144  39
40.36  2.235  30

Theoretical X-ray diffraction stick pattern
Compound: HoMgInTe3
Radiation: CuKα
Structure: DFT lattice parameters and positions (GGA-PBE)
Peak positions follow from Bragg's law for the DFT cell and can differ from measured ones.

Structure:
abc: 4.4474 15.2449 11.6900
angles: 90.00 90.00 90.00
Space group Cmcm (No. 63)
One atom of each set of equivalent atoms:
1 Ho 0.0000 0.0000 0.0000 x4
2 Mg 0.0000 0.4628 0.2500 x4
3 In 0.0000 0.2442 0.7500 x4
4 Te 0.0000 0.0766 0.2500 x4
5 Te 0.0000 0.3637 0.0524 x8

Largest 6 diffraction maxima, most intense first, 10° ≤ 2θ ≤ 90°:
2θ (°)  d/Å  I_rel
30.79  2.904  100
27.73  3.217  100
26.64  3.347  77
25.68  3.470  55
30.59  2.922  52
38.64  2.330  51

Theoretical X-ray diffraction stick pattern
Compound: Ho2TmMg3In3
Radiation: CuKα
Structure: DFT lattice parameters and positions (GGA-PBE)
Peak positions follow from Bragg's law for the DFT cell and can differ from measured ones.

Structure:
abc: 4.6540 12.9113 7.4826
angles: 90.00 90.00 90.00
Space group Amm2 (No. 38)
One atom of each set of equivalent atoms:
1 Ho 0.0000 0.2180 0.0000 x4
2 Tm 0.0000 0.0000 0.3463 x2
3 Mg 0.5000 0.0000 0.0230 x2
4 Mg 0.5000 0.1208 0.6609 x4
5 In 0.0000 0.0000 0.7801 x2
6 In 0.5000 0.1659 0.2821 x4

Largest 6 diffraction maxima, most intense first, 10° ≤ 2θ ≤ 90°:
2θ (°)  d/Å  I_rel
33.75  2.656  100
30.70  2.913  51
27.58  3.234  27
38.69  2.327  23
23.83  3.734  17
19.07  4.654  14

Theoretical X-ray diffraction stick pattern
Compound: Ho3Mg3ZnIn2
Radiation: CuKα
Structure: DFT lattice parameters and positions (GGA-PBE)
Peak positions follow from Bragg's law for the DFT cell and can differ from measured ones.

Structure:
abc: 7.4620 7.4620 4.5496
angles: 90.00 90.00 120.00
Space group P-62m (No. 189)
One atom of each set of equivalent atoms:
1 Ho 0.0000 0.5840 0.0000 x3
2 Mg 0.0000 0.2361 0.5000 x3
3 Zn 0.0000 0.0000 0.0000 x1
4 In 0.3333 0.6667 0.5000 x2

Largest 6 diffraction maxima, most intense first, 10° ≤ 2θ ≤ 90°:
2θ (°)  d/Å  I_rel
31.00  2.885  100
34.03  2.634  93
41.96  2.153  41
23.85  3.731  31
39.62  2.275  27
55.07  1.668  26

Theoretical X-ray diffraction stick pattern
Compound: HoTmInN
Radiation: CuKα
Structure: DFT lattice parameters and positions (GGA-PBE)
Peak positions follow from Bragg's law for the DFT cell and can differ from measured ones.

Structure:
abc: 3.4785 3.4785 15.6328
angles: 90.00 90.00 120.00
Space group P-3m1 (No. 164)
One atom of each set of equivalent atoms:
1 Ho 0.3333 0.6667 0.0848 x2
2 Tm 0.3333 0.6667 0.4167 x2
3 In 0.3333 0.6667 0.7482 x2
4 N 0.0000 0.0000 0.0000 x1
5 N 0.0000 0.0000 0.5000 x1

Largest 6 diffraction maxima, most intense first, 10° ≤ 2θ ≤ 90°:
2θ (°)  d/Å  I_rel
34.39  2.608  100
64.40  1.447  30
29.65  3.012  18
61.63  1.505  17
52.62  1.739  17
46.06  1.971  13

Theoretical X-ray diffraction stick pattern
Compound: SmHoInNi2
Radiation: CuKα
Structure: DFT lattice parameters and positions (GGA-PBE)
Peak positions follow from Bragg's law for the DFT cell and can differ from measured ones.

Structure:
abc: 3.6974 3.9253 14.4477
angles: 90.00 90.00 90.00
Space group Amm2 (No. 38)
One atom of each set of equivalent atoms:
1 Sm 0.0000 0.0000 0.0000 x2
2 Ho 0.0000 0.0000 0.7230 x2
3 In 0.5000 0.0000 0.3592 x2
4 Ni 0.5000 0.0000 0.1640 x2
5 Ni 0.5000 0.0000 0.5660 x2

Largest 6 diffraction maxima, most intense first, 10° ≤ 2θ ≤ 90°:
2θ (°)  d/Å  I_rel
33.88  2.646  100
34.72  2.584  75
29.35  3.043  45
38.31  2.349  37
38.69  2.327  34
59.11  1.563  32

Theoretical X-ray diffraction stick pattern
Compound: TbHoInNi2
Radiation: CuKα
Structure: DFT lattice parameters and positions (GGA-PBE)
Peak positions follow from Bragg's law for the DFT cell and can differ from measured ones.

Structure:
abc: 3.6640 3.8715 14.3801
angles: 90.00 90.00 90.00
Space group Amm2 (No. 38)
One atom of each set of equivalent atoms:
1 Tb 0.0000 0.0000 0.0000 x2
2 Ho 0.0000 0.0000 0.7210 x2
3 In 0.5000 0.0000 0.3602 x2
4 Ni 0.5000 0.0000 0.1605 x2
5 Ni 0.5000 0.0000 0.5616 x2

Largest 6 diffraction maxima, most intense first, 10° ≤ 2θ ≤ 90°:
2θ (°)  d/Å  I_rel
34.27  2.617  100
34.97  2.566  76
29.66  3.012  47
38.70  2.327  39
39.01  2.309  33
59.85  1.545  32

Theoretical X-ray diffraction stick pattern
Compound: TbHoIn2Ni4
Radiation: CuKα
Structure: DFT lattice parameters and positions (GGA-PBE)
Peak positions follow from Bragg's law for the DFT cell and can differ from measured ones.

Structure:
abc: 3.9949 5.0757 6.9790
angles: 90.00 90.00 90.00
Space group Pmm2 (No. 25)
One atom of each set of equivalent atoms:
1 Tb 0.0000 0.0000 0.0000 x1
2 Ho 0.0000 0.5000 0.4636 x1
3 In 0.5000 0.0000 0.3763 x1
4 In 0.5000 0.5000 0.0868 x1
5 Ni 0.0000 0.0000 0.6185 x1
6 Ni 0.0000 0.5000 0.8422 x1
7 Ni 0.5000 0.2511 0.7298 x2

Largest 6 diffraction maxima, most intense first, 10° ≤ 2θ ≤ 90°:
2θ (°)  d/Å  I_rel
31.24  2.863  100
38.58  2.334  59
45.41  1.997  34
35.37  2.538  32
42.76  2.115  31
34.12  2.628  30